Structure and computed powder XRD pattern of TbThHg5 (the PBE geometry in Alexandria; a wavelength of 1.5418 Å).

Principal peaks in the range 2θ = 10–80°, low angle first:
2theta	d (Å)	Rel. int.	h k l
27.7	3.224	142	1 1 1
35.1	2.558	1000	1 1 2
35.3	2.543	515	2 0 0
50.1	1.819	81	0 0 4
50.8	1.798	186	2 2 0
62.8	1.480	165	2 0 4
63.2	1.471	373	3 1 2
74.1	1.279	103	2 2 4

Lattice parameters (Å, degrees): 5.086 5.086 7.277 90.00 90.00 90.00
Sites, in units of the cell vectors:
Tb 0.000 0.000 0.000
Th 0.500 0.500 0.500
Hg 0.000 0.000 0.500
Hg 0.000 0.500 0.228
Hg 0.000 0.500 0.772
Hg 0.500 0.000 0.228
Hg 0.500 0.000 0.772